1.
Structure and simulated powder diffractogram of Zn2As2O7 (the GGA-PBE geometry in Alexandria; λ = 1.5418 Å (Cu Kα)).
Kinematic intensities with the Lorentz-polarization factor, no thermal factor.

Structure:
Cell lengths 5.6242, 5.6242, 9.8696 Å; angles 102.66, 102.66, 98.39 degrees
Fractional positions:
1 Zn 0.1404 0.7756 0.5211
2 Zn 0.2244 0.8596 0.9789
3 Zn 0.7756 0.1404 0.0211
4 Zn 0.8596 0.2244 0.4789
5 As 0.2935 0.3034 0.2951
6 As 0.3034 0.2935 0.7951
7 As 0.6966 0.7065 0.2049
8 As 0.7065 0.6966 0.7049
9 O 0.0914 0.4197 0.3872
10 O 0.0984 0.1207 0.6353
11 O 0.1207 0.0984 0.1353
12 O 0.1798 0.4983 0.8954
13 O 0.4197 0.0914 0.8872
14 O 0.4247 0.5753 0.2500
15 O 0.4983 0.1798 0.3954
16 O 0.5017 0.8202 0.6046
17 O 0.5753 0.4247 0.7500
18 O 0.5803 0.9086 0.1128
19 O 0.8202 0.5017 0.1046
20 O 0.8793 0.9016 0.8647
21 O 0.9016 0.8793 0.3647
22 O 0.9086 0.5803 0.6128

Most intense lines, 10° ≤ 2θ ≤ 90°, by angle:
2θ (°)  intensity
16.77  11
26.44  54
28.45  100
33.36  19
34.14  12
40.49  9
44.41  13
54.43  8
56.08  17
60.00  9

=====

2.
Structure and simulated powder diffractogram of La3SbO2 (the GGA-PBE geometry in Alexandria; λ = 1.5418 Å (Cu Kα)).
Kinematic intensities with the Lorentz-polarization factor, no thermal factor.

Structure:
Cell lengths 4.9710, 4.5203, 13.4465 Å; angles 90.00, 94.28, 90.00 degrees
Fractional positions:
1 La 0.1995 0.2500 0.4350
2 La 0.2017 0.2500 0.7556
3 La 0.2506 0.7500 0.0062
4 La 0.7494 0.2500 0.9938
5 La 0.7983 0.7500 0.2444
6 La 0.8005 0.7500 0.5650
7 Sb 0.2868 0.2500 0.1971
8 Sb 0.7132 0.7500 0.8029
9 O 0.0336 0.7500 0.4177
10 O 0.2376 0.2500 0.9375
11 O 0.7624 0.7500 0.0625
12 O 0.9664 0.2500 0.5823

Most intense lines, 10° ≤ 2θ ≤ 90°, by angle:
2θ (°)  intensity
26.65  100
27.85  69
29.27  37
30.50  59
32.65  74
33.30  52
33.41  32
36.24  46
39.89  51
55.00  32

=====

3.
Structure and simulated powder diffractogram of Na5B6C4 (the GGA-PBE geometry in Alexandria; λ = 1.5418 Å (Cu Kα)).
Kinematic intensities with the Lorentz-polarization factor, no thermal factor.

Structure:
Cell lengths 8.4896, 7.5258, 7.5258 Å; angles 141.37, 90.00, 90.00 degrees
Fractional positions:
1 Na 0.2479 0.0999 0.9001
2 Na 0.2479 0.2984 0.6993
3 Na 0.2479 0.6993 0.2984
4 Na 0.2479 0.9001 0.0999
5 Na 0.2495 0.4989 0.4989
6 Na 0.7505 0.4989 0.4989
7 Na 0.7521 0.0999 0.9001
8 Na 0.7521 0.2984 0.6993
9 Na 0.7521 0.6993 0.2984
10 Na 0.7521 0.9001 0.0999
11 B 0.0000 0.1667 0.1667
12 B 0.0000 0.3667 0.9667
13 B 0.0000 0.5668 0.7667
14 B 0.0000 0.7667 0.5668
15 B 0.0000 0.9667 0.3667
16 B 0.5000 0.0468 0.6382
17 B 0.5000 0.2201 0.4217
18 B 0.5000 0.4217 0.2201
19 B 0.5000 0.5606 0.7611
20 B 0.5000 0.6382 0.0468
21 B 0.5000 0.7611 0.5606
22 B 0.5000 0.8546 0.8546
23 C 0.0000 0.0329 0.6330
24 C 0.0000 0.2331 0.4331
25 C 0.0000 0.4331 0.2331
26 C 0.0000 0.6330 0.0329
27 C 0.0000 0.8329 0.8329
28 C 0.5000 0.1642 0.1642
29 C 0.5000 0.3646 0.9644
30 C 0.5000 0.9644 0.3646

Most intense lines, 10° ≤ 2θ ≤ 90°, by angle:
2θ (°)  intensity
36.08  9
36.41  17
42.08  50
42.37  100
42.60  38
57.26  10
65.09  17
77.82  13
80.95  17
81.19  11

=====

4.
Structure and simulated powder diffractogram of NdTmCdRu (the GGA-PBE geometry in Alexandria; λ = 1.5418 Å (Cu Kα)).
Kinematic intensities with the Lorentz-polarization factor, no thermal factor.

Structure:
Cell lengths 3.4928, 3.4928, 7.7679 Å; angles 90.00, 90.00, 90.00 degrees
Fractional positions:
1 Nd 0.0000 0.0000 0.0000
2 Tm 0.0000 0.0000 0.5687
3 Cd 0.5000 0.5000 0.3025
4 Ru 0.5000 0.5000 0.7687

Most intense lines, 10° ≤ 2θ ≤ 90°, by angle:
2θ (°)  intensity
11.39  7
34.54  100
36.38  49
43.50  10
52.39  17
60.66  13
64.28  35
72.84  7
87.47  8
88.53  8